The following is a theoretical powder XRD pattern of Li9Mn2Co5O16. It was derived from a cell relaxed with PBE+U, using λ = 1.5418 Å (Cu Kα).
Kinematic intensities with the Lorentz-polarization factor, no thermal factor.

```
Li9Mn2Co5O16
1.0
2.972 0.000 0.000
-0.418 5.941 0.000
-0.277 -0.204 16.172
Li Mn Co O
9 2 5 16
Cartesian
0.000 0.000 0.000
-0.274 2.858 4.209
-0.409 2.805 12.154
-0.129 -0.074 8.054
1.053 4.432 6.187
0.936 4.265 14.175
1.221 1.340 10.133
1.362 1.432 2.040
1.322 1.334 6.180
1.121 4.416 2.033
2.888 -0.020 4.171
-0.617 5.767 12.160
-0.198 2.935 0.015
-0.317 2.808 8.059
1.144 1.287 14.170
1.004 4.323 10.136
-0.313 2.906 6.317
-0.497 5.840 5.982
-0.162 2.964 1.976
-0.160 -0.122 14.083
-0.295 2.918 10.000
1.009 4.557 4.032
1.101 4.357 0.073
1.105 1.246 12.255
0.974 4.267 8.241
1.393 1.250 4.100
1.188 1.333 16.099
1.055 4.346 12.067
1.334 1.492 8.157
2.420 5.848 2.144
2.452 2.693 14.275
2.320 5.721 10.255
```

Top 12 peaks for 15 to 90 degrees two-theta, most intense first:
- 18.42°, I = 100.0, (0 1 -2)
- 41.50°, I = 33.1, (1 -2 0)
- 44.68°, I = 25.5, (1 2 0)
- 44.84°, I = 25.0, (0 0 8)
- 36.78°, I = 23.1, (1 1 2)
- 34.57°, I = 19.4, (-1 1 2)
- 62.57°, I = 15.3, (0 4 0)
- 37.32°, I = 8.2, (0 2 -4)
- 62.69°, I = 7.9, (2 0 0)
- 62.87°, I = 7.8, (1 -2 8)
- 64.39°, I = 6.6, (1 2 -8)
- 65.92°, I = 6.6, (1 2 8)